# 1
Simulated X-ray powder pattern of Ca2Ho3Tl4 for Cu Kα (λ = 1.5418 Å), from a structure optimized by DFT (PBE).
Neutral-atom scattering factors, no anomalous dispersion.

Main lines, in order of falling intensity (2θ = 5–70°):
Position (°2θ), I/Imax
31.70, 100
30.67, 44
16.54, 38
41.68, 30
28.58, 28
31.53, 25
33.10, 25
38.26, 21
20.88, 21
39.93, 19

Atomic structure:
Cell: 9.2460 9.2460 9.0303 Å, 90.00 90.00 133.95°
Positions (direct):
Ca 0.1088 0.8912 0.9199
Ca 0.3912 0.6088 0.4199
Ca 0.6088 0.3912 0.5801
Ca 0.8912 0.1088 0.0801
Ho 0.0000 0.0000 0.5000
Ho 0.0321 0.4679 0.7500
Ho 0.4679 0.0321 0.2500
Ho 0.5000 0.5000 0.0000
Ho 0.5321 0.9679 0.7500
Ho 0.9679 0.5321 0.2500
Tl 0.1847 0.8153 0.5372
Tl 0.2108 0.2892 0.7500
Tl 0.2892 0.2108 0.2500
Tl 0.3153 0.6847 0.0372
Tl 0.6847 0.3153 0.9628
Tl 0.7108 0.7892 0.7500
Tl 0.7892 0.7108 0.2500
Tl 0.8153 0.1847 0.4628



# 2
Simulated X-ray powder pattern of KCrFeS3 for Cu Kα (λ = 1.5418 Å), from a structure optimized by DFT (PBE).
Neutral-atom scattering factors, no anomalous dispersion.

Main lines, in order of falling intensity (2θ = 5–70°):
Position (°2θ), I/Imax
12.25, 100
33.26, 26
34.73, 24
47.71, 16
51.00, 13
41.83, 13
39.08, 11
24.65, 11
31.93, 10
38.88, 10

Atomic structure:
Cell: 8.1832 3.5815 9.1204 Å, 90.00 114.34 90.00°
Positions (direct):
K 0.2343 0.2500 0.2493
K 0.7657 0.7500 0.7507
Cr 0.3191 0.7500 0.8436
Cr 0.6809 0.2500 0.1564
Fe 0.0862 0.2500 0.6025
Fe 0.9138 0.7500 0.3975
S 0.1260 0.2500 0.8593
S 0.2342 0.7500 0.5554
S 0.4739 0.7500 0.1311
S 0.5261 0.2500 0.8689
S 0.7658 0.2500 0.4446
S 0.8740 0.7500 0.1407



# 3
Simulated X-ray powder pattern of RbNp4Te12Au3 for Cu Kα (λ = 1.5418 Å), from a structure optimized by DFT (PBE).
Neutral-atom scattering factors, no anomalous dispersion.

Main lines, in order of falling intensity (2θ = 5–70°):
Position (°2θ), I/Imax
39.48, 100
22.49, 77
25.18, 43
32.02, 35
51.70, 28
62.12, 24
29.90, 21
47.41, 21
45.91, 15
35.92, 13

Atomic structure:
Cell: 9.6841 9.6841 9.6841 Å, 109.47 109.47 109.47°
Positions (direct):
Rb 0.0000 0.0000 0.0000
Np 0.0000 0.0000 0.5000
Np 0.0000 0.5000 0.0000
Np 0.5000 0.0000 0.0000
Np 0.5000 0.5000 0.5000
Te 0.1533 0.8335 0.3198
Te 0.1665 0.3198 0.4863
Te 0.1665 0.6802 0.8467
Te 0.3198 0.1533 0.8335
Te 0.3198 0.4863 0.1665
Te 0.4863 0.1665 0.3198
Te 0.5137 0.8335 0.6802
Te 0.6802 0.5137 0.8335
Te 0.6802 0.8467 0.1665
Te 0.8335 0.3198 0.1533
Te 0.8335 0.6802 0.5137
Te 0.8467 0.1665 0.6802
Au 0.0000 0.5000 0.5000
Au 0.5000 0.0000 0.5000
Au 0.5000 0.5000 0.0000



# 4
Simulated X-ray powder pattern of La3HgRu for Cu Kα (λ = 1.5418 Å), from a structure optimized by DFT (PBE).
Neutral-atom scattering factors, no anomalous dispersion.

Main lines, in order of falling intensity (2θ = 5–70°):
Position (°2θ), I/Imax
30.70, 100
27.59, 38
40.85, 28
30.44, 23
54.26, 20
40.34, 20
47.38, 16
58.76, 15
46.93, 14
35.41, 14

Atomic structure:
Cell: 5.8722 7.7444 7.7445 Å, 60.00 89.94 89.96°
Positions (direct):
La 0.2496 0.1001 0.2500
La 0.2503 0.2499 0.6501
La 0.2501 0.6500 0.1000
La 0.7499 0.3500 0.9000
La 0.7497 0.7501 0.3499
La 0.7504 0.8999 0.7500
Hg 0.2502 0.6668 0.6666
Hg 0.7498 0.3332 0.3334
Ru 0.0000 0.0000 0.0000
Ru 0.5000 0.0000 0.0000



# 5
Simulated X-ray powder pattern of In2SiP for Cu Kα (λ = 1.5418 Å), from a structure optimized by DFT (PBE).
Neutral-atom scattering factors, no anomalous dispersion.

Main lines, in order of falling intensity (2θ = 5–70°):
Position (°2θ), I/Imax
35.48, 100
29.34, 92
38.57, 57
52.44, 38
34.13, 34
67.79, 28
11.23, 22
65.65, 20
55.69, 19
64.19, 19

Atomic structure:
Cell: 3.3009 3.3009 7.8801 Å, 90.00 90.00 90.00°
Positions (direct):
In 0.0000 0.0000 0.0000
In 0.5000 0.5000 0.3255
Si 0.5000 0.5000 0.7189
P 0.0000 0.0000 0.6173



# 6
Simulated X-ray powder pattern of ThPdPt6 for Cu Kα (λ = 1.5418 Å), from a structure optimized by DFT (PBE).
Neutral-atom scattering factors, no anomalous dispersion.

Main lines, in order of falling intensity (2θ = 5–70°):
Position (°2θ), I/Imax
37.92, 100
43.98, 34
64.17, 21
44.26, 16
63.95, 11
32.64, 2
24.20, 2
65.40, 2
32.83, 1
55.95, 1

Atomic structure:
Cell: 4.1176 4.1176 8.1852 Å, 90.00 90.00 90.00°
Positions (direct):
Th 0.0000 0.0000 0.0000
Pd 0.0000 0.0000 0.5000
Pt 0.0000 0.5000 0.2627
Pt 0.0000 0.5000 0.7373
Pt 0.5000 0.0000 0.2627
Pt 0.5000 0.0000 0.7373
Pt 0.5000 0.5000 0.0000
Pt 0.5000 0.5000 0.5000



# 7
Simulated X-ray powder pattern of SmTmCu4 for Cu Kα (λ = 1.5418 Å), from a structure optimized by DFT (PBE).
Neutral-atom scattering factors, no anomalous dispersion.

Main lines, in order of falling intensity (2θ = 5–70°):
Position (°2θ), I/Imax
35.64, 100
42.47, 43
35.79, 40
34.68, 37
42.09, 32
56.41, 21
24.00, 21
69.10, 18
41.32, 15
59.36, 13

Atomic structure:
Cell: 5.4688 5.4688 5.4688 Å, 133.78 102.24 95.52°
Positions (direct):
Sm 0.0000 0.0000 0.0000
Tm 0.5869 0.0869 0.5000
Cu 0.0115 0.7116 0.3000
Cu 0.1871 0.3825 0.8046
Cu 0.4116 0.7116 0.7000
Cu 0.5779 0.3825 0.1954



# 8
Simulated X-ray powder pattern of Sc6Bi3Se for Cu Kα (λ = 1.5418 Å), from a structure optimized by DFT (PBE).
Neutral-atom scattering factors, no anomalous dispersion.

Main lines, in order of falling intensity (2θ = 5–70°):
Position (°2θ), I/Imax
24.11, 100
33.46, 55
24.58, 51
48.66, 31
40.68, 26
16.30, 21
35.81, 20
36.71, 20
18.12, 20
27.58, 20

Atomic structure:
Cell: 8.8837 8.8837 6.9666 Å, 90.00 90.00 101.56°
Positions (direct):
Sc 0.0127 0.9873 0.5000
Sc 0.0823 0.5835 0.5656
Sc 0.2424 0.7576 0.1020
Sc 0.2918 0.3991 0.0738
Sc 0.3991 0.2918 0.5738
Sc 0.4165 0.9177 0.5656
Sc 0.5835 0.0823 0.0656
Sc 0.6009 0.7082 0.0738
Sc 0.7082 0.6009 0.5738
Sc 0.7576 0.2424 0.6020
Sc 0.9177 0.4165 0.0656
Sc 0.9873 0.0127 0.0000
Bi 0.0884 0.2841 0.7475
Bi 0.2841 0.0884 0.2475
Bi 0.3977 0.6023 0.4093
Bi 0.6023 0.3977 0.9093
Bi 0.7159 0.9116 0.7475
Bi 0.9116 0.7159 0.2475
Se 0.1526 0.8474 0.7667
Se 0.8474 0.1526 0.2667